Record 1
PmPrNd6Ho2: simulated powder XRD pattern (Cu Kα X-rays), based on a crystal structure in Alexandria, relaxed with PBE.
Lines closer than 0.1° are merged.

Largest 6 diffraction maxima, sorted by position, 10° ≤ 2θ ≤ 80°:
- 27.99°, I = 44
- 29.72°, I = 58
- 30.00°, I = 50
- 30.71°, I = 100
- 30.89°, I = 39
- 33.14°, I = 38

```
PmPrNd6Ho2
1.0
4.678 -7.663 0.000
4.678 7.663 0.000
-1.297 0.000 9.697
Pm Pr Nd Ho
2 2 12 4
Direct
0.031 0.969 0.750 Pm
0.969 0.031 0.250 Pm
0.407 0.593 0.250 Pr
0.593 0.407 0.750 Pr
0.016 0.564 0.682 Nd
0.110 0.758 0.056 Nd
0.242 0.890 0.444 Nd
0.296 0.513 0.881 Nd
0.436 0.984 0.818 Nd
0.487 0.704 0.619 Nd
0.513 0.296 0.381 Nd
0.564 0.016 0.182 Nd
0.704 0.487 0.119 Nd
0.758 0.110 0.556 Nd
0.890 0.242 0.944 Nd
0.984 0.436 0.318 Nd
0.197 0.294 0.548 Ho
0.294 0.197 0.048 Ho
0.706 0.803 0.952 Ho
0.803 0.706 0.452 Ho
```

---

Record 2
Pm2Pr4NdHo2: simulated powder XRD pattern (Cu Kα X-rays), based on a crystal structure in Alexandria, relaxed with PBE.
Lines closer than 0.1° are merged.

Largest 6 diffraction maxima, sorted by position, 10° ≤ 2θ ≤ 80°:
- 29.95°, I = 100
- 34.67°, I = 34
- 34.81°, I = 17
- 49.91°, I = 36
- 59.25°, I = 29
- 59.43°, I = 14

```
Pm2Pr4NdHo2
1.0
7.761 -2.587 0.000
7.761 2.587 0.000
-2.587 0.000 7.733
Pm Pr Nd Ho
2 4 1 2
Direct
0.112 0.112 0.169 Pm
0.888 0.888 0.831 Pm
0.223 0.223 0.830 Pr
0.445 0.445 0.169 Pr
0.555 0.555 0.831 Pr
0.777 0.777 0.170 Pr
0.000 0.000 0.500 Nd
0.332 0.332 0.501 Ho
0.668 0.668 0.499 Ho
```

---

Record 3
Pm2Nd3HoS6: simulated powder XRD pattern (Cu Kα X-rays), based on a crystal structure in Alexandria, relaxed with PBE.
Lines closer than 0.1° are merged.

Largest 6 diffraction maxima, sorted by position, 10° ≤ 2θ ≤ 80°:
- 27.10°, I = 57
- 27.18°, I = 19
- 31.42°, I = 100
- 44.99°, I = 48
- 45.10°, I = 24
- 53.34°, I = 22

```
Pm2Nd3HoS6
1.0
3.479 -6.045 0.000
3.479 6.045 0.000
-2.325 0.000 6.586
Pm Nd Ho S
2 3 1 6
Direct
0.167 0.833 0.000 Pm
0.833 0.167 0.000 Pm
0.000 0.000 0.500 Nd
0.329 0.671 0.500 Nd
0.671 0.329 0.500 Nd
0.500 0.500 0.000 Ho
0.095 0.420 0.759 S
0.257 0.257 0.244 S
0.420 0.095 0.759 S
0.580 0.905 0.241 S
0.743 0.743 0.756 S
0.905 0.580 0.241 S
```

---

Record 4
Pm6NdHo2Sc: simulated powder XRD pattern (Cu Kα X-rays), based on a crystal structure in Alexandria, relaxed with PBE.
Lines closer than 0.1° are merged.

Largest 6 diffraction maxima, sorted by position, 10° ≤ 2θ ≤ 80°:
- 28.34°, I = 100
- 30.14°, I = 62
- 30.78°, I = 74
- 30.90°, I = 39
- 31.07°, I = 60
- 31.32°, I = 45

```
Pm6NdHo2Sc
1.0
4.660 -7.613 0.000
4.660 7.613 0.000
-0.891 0.000 9.327
Pm Nd Ho Sc
12 2 4 2
Direct
0.009 0.444 0.806 Pm
0.123 0.767 0.553 Pm
0.233 0.877 0.947 Pm
0.289 0.517 0.389 Pm
0.444 0.009 0.306 Pm
0.483 0.711 0.111 Pm
0.517 0.289 0.889 Pm
0.556 0.991 0.694 Pm
0.711 0.483 0.611 Pm
0.767 0.123 0.053 Pm
0.877 0.233 0.447 Pm
0.991 0.556 0.194 Pm
0.028 0.972 0.250 Nd
0.972 0.028 0.750 Nd
0.208 0.308 0.051 Ho
0.308 0.208 0.551 Ho
0.692 0.792 0.449 Ho
0.792 0.692 0.949 Ho
0.421 0.579 0.750 Sc
0.579 0.421 0.250 Sc
```

---

Record 5
PmNdHo2Sc: simulated powder XRD pattern (Cu Kα X-rays), based on a crystal structure in Alexandria, relaxed with PBE.
Lines closer than 0.1° are merged.

Largest 6 diffraction maxima, sorted by position, 10° ≤ 2θ ≤ 80°:
- 31.02°, I = 100
- 35.83°, I = 17
- 35.97°, I = 17
- 36.13°, I = 16
- 61.42°, I = 14
- 61.60°, I = 14

```
PmNdHo2Sc
1.0
7.866 0.000 0.000
0.000 5.012 0.000
-0.022 0.000 7.892
Pm Nd Ho Sc
2 2 4 2
Direct
0.055 0.250 0.347 Pm
0.945 0.750 0.653 Pm
0.256 0.250 0.759 Nd
0.744 0.750 0.241 Nd
0.160 0.750 0.052 Ho
0.354 0.750 0.453 Ho
0.646 0.250 0.547 Ho
0.840 0.250 0.948 Ho
0.453 0.250 0.149 Sc
0.547 0.750 0.851 Sc
```

---

Record 6
Pm3NdHo2Se6: simulated powder XRD pattern (Cu Kα X-rays), based on a crystal structure in Alexandria, relaxed with PBE.
Lines closer than 0.1° are merged.

Largest 6 diffraction maxima, sorted by position, 10° ≤ 2θ ≤ 80°:
- 26.30°, I = 14
- 30.42°, I = 100
- 43.47°, I = 37
- 43.54°, I = 12
- 43.70°, I = 24
- 54.06°, I = 13

```
Pm3NdHo2Se6
1.0
3.584 -6.236 0.000
3.584 6.236 0.000
-2.396 0.000 6.813
Pm Nd Ho Se
3 1 2 6
Direct
0.000 0.000 0.000 Pm
0.340 0.660 0.000 Pm
0.660 0.340 0.000 Pm
0.500 0.500 0.500 Nd
0.166 0.834 0.500 Ho
0.834 0.166 0.500 Ho
0.075 0.419 0.256 Se
0.236 0.236 0.738 Se
0.419 0.075 0.256 Se
0.581 0.925 0.744 Se
0.764 0.764 0.262 Se
0.925 0.581 0.744 Se
```

---

Record 7
Pm4Nd2Sm2Ho: simulated powder XRD pattern (Cu Kα X-rays), based on a crystal structure in Alexandria, relaxed with PBE.
Lines closer than 0.1° are merged.

Largest 6 diffraction maxima, sorted by position, 10° ≤ 2θ ≤ 80°:
- 28.32°, I = 36
- 30.44°, I = 50
- 31.26°, I = 100
- 32.91°, I = 86
- 49.75°, I = 38
- 59.43°, I = 30

```
Pm4Nd2Sm2Ho
1.0
9.512 -1.835 0.000
9.512 1.835 0.000
-4.218 0.000 8.809
Pm Nd Sm Ho
4 2 2 1
Direct
0.018 0.018 0.331 Pm
0.315 0.315 0.667 Pm
0.685 0.685 0.333 Pm
0.982 0.982 0.669 Pm
0.165 0.165 0.999 Nd
0.835 0.835 0.001 Nd
0.352 0.352 0.333 Sm
0.648 0.648 0.667 Sm
0.500 0.500 0.000 Ho
```

---

Record 8
Pm5Nd2SmHo: simulated powder XRD pattern (Cu Kα X-rays), based on a crystal structure in Alexandria, relaxed with PBE.
Lines closer than 0.1° are merged.

Largest 6 diffraction maxima, sorted by position, 10° ≤ 2θ ≤ 80°:
- 28.15°, I = 46
- 28.79°, I = 51
- 30.09°, I = 100
- 37.39°, I = 15
- 51.83°, I = 24
- 54.22°, I = 13

```
Pm5Nd2SmHo
1.0
-4.385 4.385 8.075
4.385 -4.385 8.075
4.385 4.385 -8.075
Pm Nd Sm Ho
10 4 2 2
Direct
0.000 0.000 0.000 Pm
0.072 0.572 0.924 Pm
0.148 0.072 0.500 Pm
0.352 0.852 0.924 Pm
0.428 0.352 0.500 Pm
0.500 0.500 0.000 Pm
0.572 0.648 0.500 Pm
0.648 0.148 0.076 Pm
0.852 0.928 0.500 Pm
0.928 0.428 0.076 Pm
0.119 0.381 0.500 Nd
0.381 0.881 0.262 Nd
0.619 0.119 0.738 Nd
0.881 0.619 0.500 Nd
0.250 0.250 0.000 Sm
0.750 0.750 0.000 Sm
0.250 0.750 0.500 Ho
0.750 0.250 0.500 Ho
```

---

Record 9
PmNd6Sm2Ho: simulated powder XRD pattern (Cu Kα X-rays), based on a crystal structure in Alexandria, relaxed with PBE.
Lines closer than 0.1° are merged.

Largest 6 diffraction maxima, sorted by position, 10° ≤ 2θ ≤ 80°:
- 27.98°, I = 39
- 29.90°, I = 100
- 30.61°, I = 45
- 30.86°, I = 100
- 31.59°, I = 20
- 32.97°, I = 44

```
PmNd6Sm2Ho
1.0
4.640 -7.702 0.000
4.640 7.702 0.000
-1.378 0.000 9.727
Pm Nd Sm Ho
2 12 4 2
Direct
0.022 0.978 0.750 Pm
0.978 0.022 0.250 Pm
0.013 0.569 0.688 Nd
0.119 0.753 0.055 Nd
0.247 0.881 0.445 Nd
0.294 0.506 0.881 Nd
0.431 0.987 0.812 Nd
0.494 0.706 0.619 Nd
0.506 0.294 0.381 Nd
0.569 0.013 0.188 Nd
0.706 0.494 0.119 Nd
0.753 0.119 0.555 Nd
0.881 0.247 0.945 Nd
0.987 0.431 0.312 Nd
0.198 0.298 0.544 Sm
0.298 0.198 0.044 Sm
0.702 0.802 0.956 Sm
0.802 0.702 0.456 Sm
0.409 0.591 0.250 Ho
0.591 0.409 0.750 Ho
```

---

Record 10
PmNd2Sm4Ho: simulated powder XRD pattern (Cu Kα X-rays), based on a crystal structure in Alexandria, relaxed with PBE.
Lines closer than 0.1° are merged.

Largest 6 diffraction maxima, sorted by position, 10° ≤ 2θ ≤ 80°:
- 26.64°, I = 52
- 29.82°, I = 38
- 29.93°, I = 76
- 40.46°, I = 100
- 60.28°, I = 19
- 63.76°, I = 17

```
PmNd2Sm4Ho
1.0
6.886 -6.693 0.000
6.886 6.693 0.000
-3.445 0.000 5.993
Pm Nd Sm Ho
2 4 8 2
Direct
0.000 0.500 0.000 Pm
0.500 0.000 0.500 Pm
0.000 0.000 0.000 Nd
0.000 0.000 0.500 Nd
0.000 0.500 0.500 Nd
0.500 0.000 0.000 Nd
0.254 0.254 0.029 Sm
0.254 0.254 0.529 Sm
0.254 0.744 0.499 Sm
0.256 0.746 0.001 Sm
0.744 0.254 0.999 Sm
0.746 0.256 0.501 Sm
0.746 0.746 0.471 Sm
0.746 0.746 0.971 Sm
0.500 0.500 0.000 Ho
0.500 0.500 0.500 Ho
```

---

Record 11
Pm2NdSm4Ho2: simulated powder XRD pattern (Cu Kα X-rays), based on a crystal structure in Alexandria, relaxed with PBE.
Lines closer than 0.1° are merged.

Largest 6 diffraction maxima, sorted by position, 10° ≤ 2θ ≤ 80°:
- 29.37°, I = 67
- 31.02°, I = 100
- 31.25°, I = 83
- 31.44°, I = 83
- 31.80°, I = 76
- 31.94°, I = 92

```
Pm2NdSm4Ho2
1.0
6.086 0.000 0.000
2.854 6.076 0.000
2.883 0.310 8.206
Pm Nd Sm Ho
2 1 4 2
Direct
0.230 0.327 0.345 Pm
0.770 0.673 0.655 Pm
0.500 0.000 0.000 Nd
0.126 0.130 0.755 Sm
0.235 0.583 0.883 Sm
0.765 0.417 0.117 Sm
0.874 0.870 0.245 Sm
0.318 0.770 0.445 Ho
0.682 0.230 0.555 Ho
```

---

Record 12
Pm2NdSm4Ho: simulated powder XRD pattern (Cu Kα X-rays), based on a crystal structure in Alexandria, relaxed with PBE.
Lines closer than 0.1° are merged.

Largest 6 diffraction maxima, sorted by position, 10° ≤ 2θ ≤ 80°:
- 26.66°, I = 52
- 29.90°, I = 75
- 29.99°, I = 38
- 40.50°, I = 100
- 60.36°, I = 20
- 63.80°, I = 26

```
Pm2NdSm4Ho
1.0
6.879 -6.689 0.000
6.879 6.689 0.000
-3.450 0.000 5.984
Pm Nd Sm Ho
4 2 8 2
Direct
0.000 0.000 0.000 Pm
0.000 0.000 0.500 Pm
0.000 0.500 0.000 Pm
0.500 0.000 0.500 Pm
0.000 0.500 0.500 Nd
0.500 0.000 0.000 Nd
0.253 0.253 0.028 Sm
0.253 0.253 0.528 Sm
0.253 0.745 0.499 Sm
0.255 0.747 0.001 Sm
0.745 0.253 0.999 Sm
0.747 0.255 0.501 Sm
0.747 0.747 0.472 Sm
0.747 0.747 0.972 Sm
0.500 0.500 0.000 Ho
0.500 0.500 0.500 Ho
```